CsTaV2O8: theoretical X-ray powder pattern (Cu Kα X-rays), based on the PBE+U geometry in Alexandria.
Kinematic intensities with the Lorentz-polarization factor, no thermal factor.

Principal peaks in the range 2θ = 10–90°, low angle first:
hkl	Position (°2θ)	I/Imax
0 1 1	16.45	35
2 0 0	19.77	13
1 1 -2	19.97	14
1 0 3	21.22	18
0 0 4	21.70	22
2 0 -4	25.09	20
2 1 -3	26.97	100
0 2 0	31.34	23
0 1 5	31.49	22
2 2 -4	40.57	14

Structural model:
a b c (Å): 9.3387 5.7082 17.0300
angles (deg): 90.00 105.84 90.00
Positions (direct):
Cs1 0.0012 0.2500 0.1076
Cs2 0.4814 0.2500 0.3858
Cs3 0.5186 0.7500 0.6142
Cs4 0.9988 0.7500 0.8924
Ta1 0.0905 0.7500 0.6521
Ta2 0.4209 0.7500 0.8472
Ta3 0.5791 0.2500 0.1528
Ta4 0.9095 0.2500 0.3479
V1 0.1168 0.7500 0.3006
V2 0.2075 0.2500 0.5437
V3 0.2947 0.2500 0.9483
V4 0.3493 0.7500 0.1667
V5 0.6507 0.2500 0.8333
V6 0.7053 0.7500 0.0517
V7 0.7925 0.7500 0.4563
V8 0.8832 0.2500 0.6994
O1 0.0083 0.0068 0.2949
O2 0.0083 0.4932 0.2949
O3 0.0947 0.2500 0.4431
O4 0.1210 0.2500 0.9554
O5 0.1755 0.5046 0.5967
O6 0.1755 0.9954 0.5967
O7 0.1982 0.7500 0.2155
O8 0.2510 0.7500 0.3859
O9 0.2676 0.7500 0.7444
O10 0.2703 0.7500 0.0683
O11 0.3181 0.5029 0.8916
O12 0.3181 0.9971 0.8916
O13 0.3850 0.2500 0.5433
O14 0.4188 0.2500 0.0456
O15 0.4581 0.0067 0.1935
O16 0.4581 0.4933 0.1935
O17 0.5419 0.5067 0.8065
O18 0.5419 0.9933 0.8065
O19 0.5812 0.7500 0.9544
O20 0.6150 0.7500 0.4567
O21 0.6819 0.0029 0.1084
O22 0.6819 0.4971 0.1084
O23 0.7297 0.2500 0.9317
O24 0.7324 0.2500 0.2556
O25 0.7490 0.2500 0.6141
O26 0.8018 0.2500 0.7845
O27 0.8245 0.0046 0.4033
O28 0.8245 0.4954 0.4033
O29 0.8790 0.7500 0.0446
O30 0.9053 0.7500 0.5569
O31 0.9917 0.5068 0.7051
O32 0.9917 0.9932 0.7051